1.
Cu2Ag3Au8: simulated powder X-ray diffraction pattern (a wavelength of 1.5418 Å), based on a structure optimized by DFT (GGA-PBE).
Peak positions follow from Bragg's law for the DFT cell and can differ from measured ones.

Crystal structure
```
Cu2Ag3Au8
1.0
7.3821 0.0000 0.0000
0.0000 4.2729 0.0000
-3.6468 0.0000 7.7384
Cu Ag Au
2 3 8
Cartesian
0.0677 0.0000 3.6828 Cu
3.6676 0.0000 4.0556 Cu
0.0000 0.0000 0.0000 Ag
-1.4570 2.1364 7.7118 Ag
5.1922 2.1364 0.0266 Ag
-1.6849 0.0000 5.6918 Au
0.0337 2.1364 2.0670 Au
0.0333 2.1364 5.2076 Au
2.0228 0.0000 1.9654 Au
1.7125 0.0000 5.7730 Au
3.7019 2.1364 2.5307 Au
3.7015 2.1364 5.6714 Au
5.4201 0.0000 2.0466 Au
```

Main lines, most intense first (2θ = 5–70°):
| 2θ/deg | I (rel.) |
| --- | --- |
| 39.72 | 100 |
| 39.89 | 95 |
| 32.04 | 67 |
| 42.30 | 54 |
| 22.99 | 51 |
| 49.38 | 27 |
| 67.01 | 21 |
| 46.97 | 19 |


2.
Cu3Ag2Au3: simulated powder X-ray diffraction pattern (a wavelength of 1.5418 Å), based on a structure optimized by DFT (GGA-PBE).
Peak positions follow from Bragg's law for the DFT cell and can differ from measured ones.

Crystal structure
```
Cu3Ag2Au3
1.0
-1.8777 2.0494 8.2356
1.8777 -2.0494 8.2356
1.8777 2.0494 -8.2356
Cu Ag Au
3 2 3
Cartesian
0.0000 0.0000 0.0000 Cu
1.8777 0.0000 6.2511 Cu
0.0000 2.0494 1.9845 Cu
0.0000 0.0000 4.1859 Ag
0.0000 0.0000 12.2854 Ag
1.8777 0.0000 1.9863 Au
0.0000 0.0000 8.2356 Au
0.0000 2.0494 6.2493 Au
```

Main lines, most intense first (2θ = 5–70°):
| 2θ/deg | I (rel.) |
| --- | --- |
| 39.21 | 100 |
| 44.19 | 18 |
| 43.98 | 18 |
| 24.31 | 16 |
| 48.48 | 14 |
| 64.11 | 11 |
| 67.67 | 10 |
| 67.51 | 10 |


3.
CuAg3Au4: simulated powder X-ray diffraction pattern (a wavelength of 1.5418 Å), based on a structure optimized by DFT (GGA-PBE).
Peak positions follow from Bragg's law for the DFT cell and can differ from measured ones.

Crystal structure
```
CuAg3Au4
1.0
11.5645 -1.4276 0.0000
11.5645 1.4276 0.0000
-0.1237 0.0000 4.6183
Cu Ag Au
1 3 4
Cartesian
0.0000 0.0000 0.0000 Cu
6.6337 0.0000 1.1381 Ag
11.5027 0.0000 2.3092 Ag
16.3717 0.0000 3.4802 Ag
2.1496 0.0000 3.4237 Au
3.8030 0.0000 1.1501 Au
19.2024 0.0000 3.4682 Au
20.8558 0.0000 1.1946 Au
```

Main lines, most intense first (2θ = 5–70°):
| 2θ/deg | I (rel.) |
| --- | --- |
| 39.02 | 100 |
| 37.15 | 84 |
| 46.08 | 51 |
| 36.22 | 49 |
| 31.57 | 32 |
| 24.35 | 31 |
| 37.00 | 24 |
| 33.47 | 23 |


4.
Cu10AgAu6: simulated powder X-ray diffraction pattern (a wavelength of 1.5418 Å), based on a structure optimized by DFT (GGA-PBE).
Peak positions follow from Bragg's law for the DFT cell and can differ from measured ones.

Crystal structure
```
Cu10AgAu6
1.0
7.5430 0.0000 0.0000
-3.7715 6.5325 0.0000
0.0000 0.0000 5.2495
Cu Ag Au
10 1 6
Cartesian
-1.1884 2.0583 1.7429 Cu
-2.5832 4.4742 3.5066 Cu
2.3767 0.0000 1.7429 Cu
1.1884 2.0583 3.5066 Cu
0.0000 4.3550 0.0000 Cu
0.0000 4.3550 2.6247 Cu
3.7715 2.1775 0.0000 Cu
3.7715 2.1775 2.6247 Cu
5.1663 0.0000 3.5066 Cu
2.5832 4.4742 1.7429 Cu
0.0000 0.0000 0.0000 Ag
-1.3190 2.2845 4.2865 Au
-2.4526 4.2480 0.9630 Au
2.6379 0.0000 4.2865 Au
1.3190 2.2845 0.9630 Au
4.9051 0.0000 0.9630 Au
2.4526 4.2480 4.2865 Au
```

Main lines, most intense first (2θ = 5–70°):
| 2θ/deg | I (rel.) |
| --- | --- |
| 41.47 | 100 |
| 41.94 | 99 |
| 29.16 | 52 |
| 60.45 | 31 |
| 23.59 | 18 |
| 16.89 | 12 |
| 51.49 | 11 |
| 68.17 | 9 |


5.
CuAgAu2: simulated powder X-ray diffraction pattern (a wavelength of 1.5418 Å), based on a structure optimized by DFT (GGA-PBE).
Peak positions follow from Bragg's law for the DFT cell and can differ from measured ones.

Crystal structure
```
CuAgAu2
1.0
2.8695 0.0000 0.0000
0.0000 4.7159 0.0000
-0.0013 0.0000 4.9433
Cu Ag Au
1 1 2
Cartesian
0.0000 0.0000 0.0000 Cu
2.8634 2.3580 1.7021 Ag
1.4282 2.3580 4.2288 Au
1.4303 0.0000 2.4883 Au
```

Main lines, most intense first (2θ = 5–70°):
| 2θ/deg | I (rel.) |
| --- | --- |
| 41.10 | 100 |
| 41.24 | 41 |
| 38.17 | 39 |
| 26.12 | 23 |
| 36.20 | 19 |
| 65.30 | 15 |
| 36.35 | 15 |
| 53.61 | 12 |


6.
CuAg6Au: simulated powder X-ray diffraction pattern (a wavelength of 1.5418 Å), based on a structure optimized by DFT (GGA-PBE).
Peak positions follow from Bragg's law for the DFT cell and can differ from measured ones.

Crystal structure
```
CuAg6Au
1.0
5.2346 0.0000 0.0000
-0.3766 5.2623 0.0000
-0.2856 -0.2399 5.2892
Cu Ag Au
1 6 1
Cartesian
0.0000 0.0000 0.0000 Cu
-0.2245 3.8502 2.3235 Ag
0.8239 2.7186 5.0946 Ag
2.1082 -0.0041 3.9668 Ag
2.4641 5.0265 1.3225 Ag
3.7485 2.3038 0.1947 Ag
4.7968 1.1721 2.9657 Ag
2.2862 2.5112 2.6446 Au
```

Main lines, most intense first (2θ = 5–70°):
| 2θ/deg | I (rel.) |
| --- | --- |
| 40.73 | 100 |
| 41.02 | 51 |
| 38.80 | 44 |
| 39.52 | 42 |
| 39.40 | 41 |
| 34.41 | 21 |
| 34.11 | 20 |
| 33.90 | 20 |


Q: What is the formula in the third record?
A: CuAg3Au4